Diffraction record for Co2NiP. The X-ray powder pattern is computed, not measured: it uses a structure optimized by DFT (GGA-PBE) and λ = 1.5418 Å (Cu Kα).
Peak positions follow from Bragg's law for the DFT cell and can differ from measured ones.

Structure:
Cell lengths 2.770, 3.909, 7.974 Å; angles 90.00, 90.00, 90.00 degrees
Space group Imm2 (No. 44)
One atom of each set of equivalent atoms:
Co: 0.000 0.000 0.000 x2
Co: 0.000 0.500 0.219 x2
Ni: 0.000 0.500 0.784 x2
P: 0.000 0.000 0.502 x2

Peak list (10 most intense, 10° ≤ 2θ ≤ 80°, by angle)
d [Å]  I_rel  h k l
2.617  9.2  1 0 1
2.198  18.4  0 1 3
1.994  19.1  0 0 4
1.966  100.0  1 1 2
1.954  27.1  0 2 0
1.566  3.5  1 2 1
1.477  2.5  0 1 5
1.396  11.0  0 2 4
1.385  8.1  2 0 0
1.382  6.5  1 0 5

***

Diffraction record for Co2NiP. The X-ray powder pattern is computed, not measured: it uses a structure optimized by DFT (GGA-PBE) and λ = 1.5418 Å (Cu Kα).
Peak positions follow from Bragg's law for the DFT cell and can differ from measured ones.

Structure:
Cell lengths 3.585, 3.585, 6.484 Å; angles 90.00, 90.00, 90.00 degrees
Space group I4/mmm (No. 139)
One atom of each set of equivalent atoms:
Co: 0.000 0.500 0.250 x4
Ni: 0.000 0.000 0.000 x2
P: 0.000 0.000 0.500 x2

Peak list (10 most intense, 10° ≤ 2θ ≤ 80°, by angle)
d [Å]  I_rel  h k l
3.242  1.7  0 0 2
3.137  9.0  1 0 1
2.535  1.8  1 1 0
1.997  100.0  1 1 2
1.851  2.0  1 0 3
1.792  34.8  2 0 0
1.621  12.2  0 0 4
1.556  2.2  2 1 1
1.267  10.1  2 2 0
1.202  16.9  2 0 4

***

Diffraction record for Co2NiP. The X-ray powder pattern is computed, not measured: it uses a structure optimized by DFT (GGA-PBE) and λ = 1.5418 Å (Cu Kα).
Peak positions follow from Bragg's law for the DFT cell and can differ from measured ones.

Structure:
Cell lengths 3.512, 3.512, 3.372 Å; angles 90.00, 90.00, 90.00 degrees
Space group P4/mmm (No. 123)
One atom of each set of equivalent atoms:
Co: 0.000 0.500 0.000 x2
Ni: 0.000 0.000 0.500 x1
P: 0.500 0.500 0.500 x1

Peak list (10 most intense, 10° ≤ 2θ ≤ 80°, by angle)
d [Å]  I_rel  h k l
3.512  5.8  1 0 0
3.372  1.8  0 0 1
2.483  1.7  1 1 0
2.432  4.7  1 0 1
2.000  100.0  1 1 1
1.756  32.3  2 0 0
1.686  14.0  0 0 2
1.424  1.5  2 1 1
1.242  9.4  2 2 0
1.216  17.5  2 0 2

***

Diffraction record for CoNiP2S6. The X-ray powder pattern is computed, not measured: it uses a structure optimized by DFT (GGA-PBE) and λ = 1.5418 Å (Cu Kα).
Peak positions follow from Bragg's law for the DFT cell and can differ from measured ones.

Structure:
Cell lengths 5.792, 10.031, 7.274 Å; angles 90.00, 105.82, 90.00 degrees
Space group C2 (No. 5)
One atom of each set of equivalent atoms:
Co: 0.000 0.000 0.000 x2
Ni: 0.000 0.666 0.000 x2
P: 0.054 0.333 0.156 x4
S: 0.221 0.839 0.209 x4
S: 0.238 0.155 0.209 x4
S: 0.244 0.006 0.792 x4

Peak list (10 most intense, 10° ≤ 2θ ≤ 80°, by angle)
d [Å]  I_rel  h k l
6.998  100.0  0 0 1
2.869  22.7  1 3 0
2.543  17.4  2 0 -2
2.531  34.5  1 3 1
2.079  6.7  1 3 2
1.948  6.9  1 3 -3
1.931  4.3  2 2 -3
1.672  18.3  0 6 0
1.627  7.0  3 3 -2
1.397  4.4  2 6 -2

***

Diffraction record for TbCoNiP2. The X-ray powder pattern is computed, not measured: it uses a structure optimized by DFT (GGA-PBE) and λ = 1.5418 Å (Cu Kα).
Peak positions follow from Bragg's law for the DFT cell and can differ from measured ones.

Structure:
Cell lengths 3.865, 3.865, 9.417 Å; angles 90.00, 90.00, 90.00 degrees
Space group I-4m2 (No. 119)
One atom of each set of equivalent atoms:
Tb: 0.000 0.000 0.000 x2
Co: 0.000 0.500 0.250 x2
Ni: 0.000 0.500 0.750 x2
P: 0.000 0.000 0.375 x4

Peak list (10 most intense, 10° ≤ 2θ ≤ 80°, by angle)
d [Å]  I_rel  h k l
3.575  46.7  1 0 1
2.437  54.4  1 0 3
2.364  100.0  1 1 2
2.354  15.4  0 0 4
1.932  39.5  2 0 0
1.693  17.5  1 0 5
1.514  24.4  2 1 3
1.494  14.4  2 0 4
1.361  16.6  1 1 6
1.273  13.6  2 1 5

***

Diffraction record for ThCo2NiP2. The X-ray powder pattern is computed, not measured: it uses a structure optimized by DFT (GGA-PBE) and λ = 1.5418 Å (Cu Kα).
Peak positions follow from Bragg's law for the DFT cell and can differ from measured ones.

Structure:
Cell lengths 3.9108, 3.9108, 6.4851 Å; angles 90.00, 90.00, 120.00 degrees
Space group P-3m1 (No. 164)
One atom of each set of equivalent atoms:
Th: 0.0000 0.0000 0.0000 x1
Co: 0.3333 0.6667 0.6569 x2
Ni: 0.0000 0.0000 0.5000 x1
P: 0.3333 0.6667 0.2998 x2

Peak list (10 most intense, 10° ≤ 2θ ≤ 80°, by angle)
d [Å]  I_rel  h k l
3.387  42.2  1 0 0
3.243  11.9  0 0 2
3.002  69.7  1 0 1
2.342  100.0  0 1 2
2.162  12.0  0 0 3
1.955  54.5  1 1 0
1.638  12.3  0 2 1
1.501  24.5  2 0 2
1.462  20.0  1 0 4
1.450  20.1  1 1 3

***

Diffraction record for Th2CoNi12P3. The X-ray powder pattern is computed, not measured: it uses a structure optimized by DFT (GGA-PBE) and λ = 1.5418 Å (Cu Kα).
Peak positions follow from Bragg's law for the DFT cell and can differ from measured ones.

Structure:
Cell lengths 7.5653, 7.5653, 16.8506 Å; angles 90.00, 90.00, 120.00 degrees
Space group R-3m (No. 166, hexagonal axes)
One atom of each set of equivalent atoms:
Th: 0.0000 0.0000 0.1191 x6
Co: 0.0000 0.0000 0.5000 x3
Ni: 0.0045 0.5022 0.1255 x18
Ni: 0.0303 0.5151 0.3627 x18
P: 0.0000 0.5000 0.0000 x9

Peak list (10 most intense, 10° ≤ 2θ ≤ 80°, by angle)
d [Å]  I_rel  h k l
6.106  22.5  1 0 1
3.216  24.8  0 2 1
3.137  45.1  1 1 3
2.997  30.6  0 1 5
2.586  100.0  0 2 4
2.035  15.3  3 0 3
1.891  64.6  2 2 0
1.772  47.5  2 0 8
1.527  17.6  4 0 4
1.293  15.3  0 4 8

***

Diffraction record for Pa2Co4Ni3. The X-ray powder pattern is computed, not measured: it uses a structure optimized by DFT (GGA-PBE) and λ = 1.5418 Å (Cu Kα).
Peak positions follow from Bragg's law for the DFT cell and can differ from measured ones.

Structure:
Cell lengths 4.701, 8.607, 12.254 Å; angles 90.00, 90.00, 90.00 degrees
Space group Fmmm (No. 69)
One atom of each set of equivalent atoms:
Pa: 0.000 0.000 0.138 x8
Co: 0.000 0.158 0.324 x16
Ni: 0.000 0.000 0.500 x4
Ni: 0.250 0.250 0.000 x8

Peak list (10 most intense, 10° ≤ 2θ ≤ 80°, by angle)
d [Å]  I_rel  h k l
4.304  26.8  0 2 0
3.910  28.7  1 1 1
2.903  51.9  1 1 3
2.496  37.2  0 2 4
2.402  35.1  1 3 1
2.351  29.3  2 0 0
2.107  23.2  1 1 5
2.100  100.0  1 3 3
2.063  29.8  2 2 0
1.865  23.1  2 0 4

***

Diffraction record for Pa3Co3Ni5. The X-ray powder pattern is computed, not measured: it uses a structure optimized by DFT (GGA-PBE) and λ = 1.5418 Å (Cu Kα).
Peak positions follow from Bragg's law for the DFT cell and can differ from measured ones.

Structure:
Cell lengths 7.7467, 7.7467, 3.4340 Å; angles 90.00, 90.00, 120.00 degrees
Space group P-62m (No. 189)
One atom of each set of equivalent atoms:
Pa: 0.0000 0.3916 0.0000 x3
Co: 0.0000 0.1759 0.5000 x3
Ni: 0.0000 0.6454 0.5000 x3
Ni: 0.3333 0.6667 0.5000 x2

Peak list (10 most intense, 10° ≤ 2θ ≤ 80°, by angle)
d [Å]  I_rel  h k l
3.873  62.7  1 1 0
3.354  14.9  2 0 0
2.570  100.0  1 1 1
2.400  21.9  2 0 1
2.236  31.8  3 0 0
2.040  40.5  2 1 1
1.861  33.4  3 1 0
1.687  24.9  2 2 1
1.636  17.0  3 1 1
1.262  18.6  3 1 2

***

Diffraction record for Pa4CoNi. The X-ray powder pattern is computed, not measured: it uses a structure optimized by DFT (GGA-PBE) and λ = 1.5418 Å (Cu Kα).
Peak positions follow from Bragg's law for the DFT cell and can differ from measured ones.

Structure:
Cell lengths 6.735, 6.735, 5.388 Å; angles 90.00, 90.00, 90.00 degrees
Space group P4/mcc (No. 124)
One atom of each set of equivalent atoms:
Pa: 0.155 0.339 0.000 x8
Co: 0.000 0.000 0.250 x2
Ni: 0.500 0.500 0.250 x2

Peak list (10 most intense, 10° ≤ 2θ ≤ 80°, by angle)
d [Å]  I_rel  h k l
2.694  16.8  0 0 2
2.629  100.0  2 1 1
2.345  11.8  1 1 2
2.130  21.6  3 1 0
2.104  13.6  2 0 2
1.563  14.2  4 1 1
1.543  20.5  2 1 3
1.428  8.6  4 0 2
1.368  14.3  3 3 2
1.218  12.6  5 2 1

***

Diffraction record for Pa2Co5Ni12. The X-ray powder pattern is computed, not measured: it uses a structure optimized by DFT (GGA-PBE) and λ = 1.5418 Å (Cu Kα).
Peak positions follow from Bragg's law for the DFT cell and can differ from measured ones.

Structure:
Cell lengths 8.2493, 8.2493, 12.0781 Å; angles 90.00, 90.00, 120.00 degrees
Space group R-3m (No. 166, hexagonal axes)
One atom of each set of equivalent atoms:
Pa: 0.0000 0.0000 0.1624 x6
Co: 0.0000 0.0000 0.4031 x6
Co: 0.0000 0.5000 0.0000 x9
Ni: 0.0000 0.3012 0.5000 x18
Ni: 0.0006 0.5003 0.3461 x18

Peak list (10 most intense, 10° ≤ 2θ ≤ 80°, by angle)
d [Å]  I_rel  h k l
2.881  51.1  1 1 3
2.381  45.8  3 0 0
2.306  23.4  0 2 4
2.062  54.0  2 2 0
2.050  100.0  3 0 3
2.013  41.3  0 0 6
2.001  13.3  2 0 5
1.454  24.1  1 4 3
1.441  24.3  2 2 6
1.301  20.7  3 3 3

***

Diffraction record for PaCo9Ni2. The X-ray powder pattern is computed, not measured: it uses a structure optimized by DFT (GGA-PBE) and λ = 1.5418 Å (Cu Kα).
Peak positions follow from Bragg's law for the DFT cell and can differ from measured ones.

Structure:
Cell lengths 7.967, 7.967, 4.648 Å; angles 90.00, 90.00, 90.00 degrees
Space group P4/mbm (No. 127)
One atom of each set of equivalent atoms:
Pa: 0.000 0.000 0.000 x2
Co: 0.000 0.500 0.500 x2
Co: 0.066 0.210 0.500 x8
Co: 0.179 0.679 0.234 x8
Ni: 0.113 0.387 0.000 x4

Peak list (10 most intense, 10° ≤ 2θ ≤ 80°, by angle)
d [Å]  I_rel  h k l
3.585  23.2  1 1 1
3.025  24.7  2 0 1
2.519  26.4  3 1 0
2.409  38.0  2 2 1
2.215  100.0  3 1 1
2.007  39.8  2 0 2
1.995  25.6  3 2 1
1.946  38.1  2 1 2
1.932  29.8  4 1 0
1.782  22.3  4 2 0